[1]
Diffraction record for NdGdIrRu. The powder diffractogram is simulated, not measured: it uses a crystal structure in Alexandria, relaxed with GGA-PBE and λ = 1.5418 Å (Cu Kα).
Kinematic intensities with the Lorentz-polarization factor, no thermal factor.

Largest 6 diffraction maxima, by angle, 5 to 70 degrees two-theta:
2θ = 22.06°, rel. 48
2θ = 36.41°, rel. 1000
2θ = 42.99°, rel. 28
2θ = 52.45°, rel. 176
2θ = 57.57°, rel. 12
2θ = 65.53°, rel. 360

Structural model:
```
NdGdIrRu
1.0
0.000 3.489 3.489
3.489 0.000 3.489
3.489 3.489 0.000
Nd Gd Ir Ru
1 1 1 1
Direct
0.000 0.000 0.000
0.500 0.500 0.500
0.250 0.250 0.250
0.750 0.750 0.750
```

---

[2]
Diffraction record for Rb4GeP4S12. The powder diffractogram is simulated, not measured: it uses a crystal structure in Alexandria, relaxed with GGA-PBE and λ = 1.5418 Å (Cu Kα).
Kinematic intensities with the Lorentz-polarization factor, no thermal factor.

Largest 8 diffraction maxima, by angle, 5 to 70 degrees two-theta:
2θ = 12.67°, rel. 389
2θ = 18.52°, rel. 583
2θ = 23.51°, rel. 792
2θ = 26.19°, rel. 415
2θ = 27.15°, rel. 424
2θ = 27.41°, rel. 1000
2θ = 29.05°, rel. 408
2θ = 34.82°, rel. 561

Structural model:
```
Rb4GeP4S12
1.0
6.437 -4.198 0.000
6.437 4.198 0.000
-4.870 0.000 23.694
Rb Ge P S
8 2 8 24
Direct
0.029 0.168 0.181
0.168 0.029 0.681
0.294 0.328 0.453
0.328 0.294 0.953
0.672 0.706 0.047
0.706 0.672 0.547
0.832 0.971 0.319
0.971 0.832 0.819
0.474 0.526 0.250
0.526 0.474 0.750
0.210 0.603 0.129
0.292 0.423 0.617
0.397 0.790 0.371
0.423 0.292 0.117
0.577 0.708 0.883
0.603 0.210 0.629
0.708 0.577 0.383
0.790 0.397 0.871
0.003 0.372 0.830
0.128 0.284 0.579
0.150 0.710 0.056
0.236 0.493 0.706
0.274 0.647 0.583
0.280 0.600 0.317
0.284 0.128 0.079
0.290 0.850 0.444
0.353 0.726 0.917
0.372 0.003 0.330
0.400 0.720 0.183
0.493 0.236 0.206
0.507 0.764 0.794
0.600 0.280 0.817
0.628 0.997 0.670
0.647 0.274 0.083
0.710 0.150 0.556
0.716 0.872 0.921
0.720 0.400 0.683
0.726 0.353 0.417
0.764 0.507 0.294
0.850 0.290 0.944
0.872 0.716 0.421
0.997 0.628 0.170
```